For Ca4Nd9Cd11, the PBE geometry in Alexandria gives the theoretical X-ray powder pattern in this record (CuKα).
Neutral-atom scattering factors, no anomalous dispersion.

Structure:
a = 17.0284 Å, b = 23.1159 Å, c = 3.5451 Å
α = 90.00°, β = 90.00°, γ = 90.00°
Space group Cmmm (No. 65)
Symmetry-distinct sites (fractional):
Ca 0.1707 0.0835 0.0000 (multiplicity 8)
Nd 0.0000 0.0000 0.0000 (multiplicity 2)
Nd 0.1115 0.4065 0.0000 (multiplicity 8)
Nd 0.1121 0.2300 0.0000 (multiplicity 8)
Cd 0.0000 0.1276 0.5000 (multiplicity 4)
Cd 0.0000 0.3190 0.5000 (multiplicity 4)
Cd 0.0000 0.5000 0.5000 (multiplicity 2)
Cd 0.2132 0.5000 0.5000 (multiplicity 4)
Cd 0.2295 0.3176 0.5000 (multiplicity 8)

Peak list (6 most intense, 15 to 90 degrees two-theta, most intense first)
2θ/deg	d_spacing	I/Imax
31.3	2.855	100.0
32.9	2.724	88.2
32.3	2.776	71.3
34.4	2.609	64.0
32.7	2.741	63.2
57.7	1.597	40.1

For Ca4NdCd5, the PBE geometry in Alexandria gives the theoretical X-ray powder pattern in this record (CuKα).
Neutral-atom scattering factors, no anomalous dispersion.

Structure:
a = 3.8370 Å, b = 3.8370 Å, c = 19.2705 Å
α = 90.00°, β = 90.00°, γ = 90.00°
Space group P4/mmm (No. 123)
Symmetry-distinct sites (fractional):
Ca 0.0000 0.0000 0.1001 (multiplicity 2)
Ca 0.0000 0.0000 0.2989 (multiplicity 2)
Nd 0.0000 0.0000 0.5000 (multiplicity 1)
Cd 0.5000 0.5000 0.0000 (multiplicity 1)
Cd 0.5000 0.5000 0.1994 (multiplicity 2)
Cd 0.5000 0.5000 0.3994 (multiplicity 2)

Peak list (6 most intense, 15 to 90 degrees two-theta, most intense first)
2θ/deg	d_spacing	I/Imax
33.0	2.717	100.0
58.9	1.568	23.5
58.8	1.571	11.8
47.4	1.919	11.6
78.9	1.214	9.7
69.1	1.360	7.1

For CaPmNdCd, the PBE geometry in Alexandria gives the theoretical X-ray powder pattern in this record (CuKα).
Neutral-atom scattering factors, no anomalous dispersion.

Structure:
a = 3.6844 Å, b = 3.6844 Å, c = 9.5896 Å
α = 90.00°, β = 90.00°, γ = 90.00°
Space group P4mm (No. 99)
Symmetry-distinct sites (fractional):
Ca 0.0000 0.0000 0.0000 (multiplicity 1)
Pm 0.0000 0.0000 0.5675 (multiplicity 1)
Nd 0.5000 0.5000 0.3041 (multiplicity 1)
Cd 0.5000 0.5000 0.7839 (multiplicity 1)

Peak list (6 most intense, 15 to 90 degrees two-theta, most intense first)
2θ/deg	d_spacing	I/Imax
30.6	2.922	100.0
34.4	2.605	38.9
59.3	1.558	29.6
51.8	1.764	18.6
49.5	1.842	13.7
37.5	2.397	11.9

For Ca2NpCdO6, the PBE geometry in Alexandria gives the theoretical X-ray powder pattern in this record (CuKα).
Neutral-atom scattering factors, no anomalous dispersion.

Structure:
a = 5.8217 Å, b = 5.8217 Å, c = 15.0549 Å
α = 90.00°, β = 90.00°, γ = 120.00°
Space group R3 (No. 146, hexagonal axes)
Symmetry-distinct sites (fractional):
Ca 0.0000 0.0000 0.0000 (multiplicity 3)
Ca 0.0000 0.0000 0.4917 (multiplicity 3)
Np 0.0000 0.0000 0.7066 (multiplicity 3)
Cd 0.0000 0.0000 0.2163 (multiplicity 3)
O 0.0032 0.3857 0.4430 (multiplicity 9)
O 0.0671 0.6900 0.2861 (multiplicity 9)

Peak list (6 most intense, 15 to 90 degrees two-theta, most intense first)
2θ/deg	d_spacing	I/Imax
21.2	4.189	100.0
29.6	3.016	79.6
30.7	2.911	72.8
47.9	1.901	39.9
43.2	2.094	36.1
53.9	1.700	32.6